# Os2Ru4Rh
Simulated powder XRD pattern, Cu Ka. Input: a PBE-relaxed structure.
Lines closer than 0.1° are merged.

Structural model:
a = 2.7361 Å, b = 2.7361 Å, c = 45.6077 Å
α = 90.00°, β = 90.00°, γ = 120.00°
Space group R3m (No. 160, hexagonal axes)
Asymmetric unit:
Os1 0.0000 0.0000 0.0000 [3 per cell]
Os2 0.0000 0.0000 0.0957 [3 per cell]
Ru1 0.0000 0.0000 0.1898 [3 per cell]
Ru2 0.0000 0.0000 0.2862 [3 per cell]
Ru3 0.0000 0.0000 0.7155 [3 per cell]
Ru4 0.0000 0.0000 0.8097 [3 per cell]
Rh1 0.0000 0.0000 0.9048 [3 per cell]

Principal peaks in the range 5 to 70 degrees two-theta, by angle:
index, 2θ/deg, I/Imax
0 0 3, 5.81, 53
0 0 9, 17.50, 12
0 0 12, 23.41, 6
1 0 1, 38.03, 52
0 0 21, 41.58, 50
1 0 10, 43.02, 100
0 1 11, 44.02, 96
0 1 20, 55.96, 16
1 0 22, 59.22, 15
1 1 0, 68.60, 34

# HfAl3Ge
Simulated powder XRD pattern, Cu Ka. Input: a PBE-relaxed structure.
Lines closer than 0.1° are merged.

Structural model:
a = 4.7711 Å, b = 4.7711 Å, c = 4.7711 Å
α = 90.00°, β = 90.00°, γ = 90.00°
Space group Pm-3m (No. 221)
Asymmetric unit:
Hf1 0.0000 0.0000 0.0000 [1 per cell]
Al1 0.0000 0.5000 0.5000 [3 per cell]
Ge1 0.5000 0.5000 0.5000 [1 per cell]

Principal peaks in the range 5 to 70 degrees two-theta, by angle:
index, 2θ/deg, I/Imax
1 0 0, 18.60, 11
1 1 0, 26.42, 100
1 1 1, 32.50, 26
2 0 0, 37.71, 43
2 1 0, 42.36, 6
2 1 1, 46.63, 44
2 2 0, 54.39, 30
3 1 0, 61.46, 19
3 1 1, 64.81, 11
2 2 2, 68.07, 10

# Mg5Zn
Simulated powder XRD pattern, Cu Ka. Input: a PBE-relaxed structure.
Lines closer than 0.1° are merged.

Structural model:
a = 11.8595 Å, b = 3.0976 Å, c = 7.1977 Å
α = 90.00°, β = 104.46°, γ = 90.00°
Space group Cm (No. 8)
Asymmetric unit:
Mg1 0.0000 0.0000 0.0000 [2 per cell]
Mg2 0.0422 0.0000 0.6112 [2 per cell]
Mg3 0.1720 0.5000 0.3531 [2 per cell]
Mg4 0.2248 0.5000 0.9251 [2 per cell]
Mg5 0.3849 0.0000 0.2769 [2 per cell]
Zn1 0.3339 0.0000 0.6658 [2 per cell]

Principal peaks in the range 5 to 70 degrees two-theta, by angle:
index, 2θ/deg, I/Imax
0 0 1, 12.70, 54
2 0 0, 15.43, 34
2 0 2, 33.24, 32
1 1 1, 33.36, 42
4 0 -2, 35.19, 71
4 0 1, 36.71, 43
3 1 0, 37.34, 100
1 1 -2, 38.37, 91
0 0 3, 38.76, 37
3 1 3, 59.47, 29

# As2S2Br
Simulated powder XRD pattern, Cu Ka. Input: a PBE-relaxed structure.
Lines closer than 0.1° are merged.

Structural model:
a = 5.4812 Å, b = 5.4853 Å, c = 7.0549 Å
α = 99.17°, β = 99.40°, γ = 107.10°
Space group P-1 (No. 2)
Asymmetric unit:
As1 0.1867 0.1867 0.3883 [2 per cell]
S1 0.1808 0.8188 0.5000 [2 per cell]
Br1 0.0000 0.0000 0.0000 [1 per cell]

Principal peaks in the range 5 to 70 degrees two-theta, by angle:
index, 2θ/deg, I/Imax
0 0 1, 13.04, 38
1 0 0, 17.35, 100
0 1 -1, 19.29, 26
1 -1 0, 20.13, 43
0 0 2, 26.25, 19
1 1 -1, 27.92, 15
2 0 -1, 34.66, 46
0 1 2, 34.77, 41
1 0 2, 34.84, 20
1 0 -3, 39.83, 19

# Nd7Sn
Simulated powder XRD pattern, Cu Ka. Input: a PBE-relaxed structure.
Lines closer than 0.1° are merged.

Structural model:
a = 10.1724 Å, b = 10.1724 Å, c = 10.1724 Å
α = 90.00°, β = 90.00°, γ = 90.00°
Space group Fm-3m (No. 225)
Asymmetric unit:
Nd1 0.0000 0.0000 0.0000 [4 per cell]
Nd2 0.0000 0.2500 0.2500 [24 per cell]
Sn1 0.0000 0.0000 0.5000 [4 per cell]

Principal peaks in the range 5 to 70 degrees two-theta, by angle:
index, 2θ/deg, I/Imax
2 2 2, 30.44, 100
4 0 0, 35.29, 51
4 4 0, 50.77, 36
6 2 2, 60.36, 43
4 4 4, 63.34, 12

# PmDy2Ho4Tm
Simulated powder XRD pattern, Cu Ka. Input: a PBE-relaxed structure.
Lines closer than 0.1° are merged.

Structural model:
a = 7.0472 Å, b = 7.0616 Å, c = 12.2276 Å
α = 105.77°, β = 90.68°, γ = 119.91°
Space group P-1 (No. 2)
Asymmetric unit:
Pm1 0.0000 0.0000 0.0000 [1 per cell]
Pm2 0.5000 0.0000 0.5000 [1 per cell]
Dy1 0.0000 0.0000 0.5000 [1 per cell]
Dy2 0.0000 0.5000 0.5000 [1 per cell]
Dy3 0.5000 0.5000 0.0000 [1 per cell]
Dy4 0.5000 0.5000 0.5000 [1 per cell]
Ho1 0.2493 0.5003 0.2492 [2 per cell]
Ho2 0.2498 0.9998 0.2494 [2 per cell]
Ho3 0.2503 0.5002 0.7508 [2 per cell]
Ho4 0.2509 0.9998 0.7507 [2 per cell]
Tm1 0.0000 0.5000 0.0000 [1 per cell]
Tm2 0.5000 0.0000 0.0000 [1 per cell]

Principal peaks in the range 5 to 70 degrees two-theta, by angle:
index, 2θ/deg, I/Imax
0 2 0, 30.86, 100
2 0 -2, 31.00, 49
2 -2 2, 31.23, 48
-2 2 2, 35.65, 34
2 0 2, 36.01, 33
0 2 -4, 36.14, 33
2 2 -2, 51.78, 24
-2 4 2, 60.92, 15
2 0 6, 61.50, 14
4 0 0, 61.72, 28

# GaTc4C
Simulated powder XRD pattern, Cu Ka. Input: a PBE-relaxed structure.
Lines closer than 0.1° are merged.

Structural model:
a = 7.6942 Å, b = 8.1992 Å, c = 2.8898 Å
α = 90.00°, β = 90.00°, γ = 90.00°
Space group Cmmm (No. 65)
Asymmetric unit:
Ga1 0.0000 0.0000 0.0000 [2 per cell]
Tc1 0.0000 0.2584 0.5000 [4 per cell]
Tc2 0.1846 0.5000 0.0000 [4 per cell]
C1 0.0000 0.5000 0.5000 [2 per cell]

Principal peaks in the range 5 to 70 degrees two-theta, by angle:
index, 2θ/deg, I/Imax
2 0 0, 23.12, 19
2 2 0, 31.90, 48
3 1 0, 36.72, 30
0 2 1, 38.10, 100
2 0 1, 38.98, 33
0 4 0, 44.18, 35
3 3 0, 48.73, 55
3 3 1, 58.81, 15
2 4 1, 60.37, 17
4 2 1, 62.24, 13

# Al4P5
Simulated powder XRD pattern, Cu Ka. Input: a PBE-relaxed structure.
Lines closer than 0.1° are merged.

Structural model:
a = 9.5834 Å, b = 9.5834 Å, c = 3.1100 Å
α = 90.00°, β = 90.00°, γ = 90.00°
Space group I4/mmm (No. 139)
Asymmetric unit:
Al1 0.0000 0.3066 0.0000 [8 per cell]
P1 0.0000 0.0000 0.0000 [2 per cell]
P2 0.1844 0.1844 0.5000 [8 per cell]

Principal peaks in the range 5 to 70 degrees two-theta, by angle:
index, 2θ/deg, I/Imax
1 1 0, 13.06, 3
2 0 0, 18.52, 12
4 0 0, 37.54, 7
3 3 0, 39.91, 47
3 0 1, 40.48, 100
3 2 1, 44.86, 4
5 3 0, 55.95, 3
4 3 1, 56.39, 10
6 0 0, 57.72, 12
0 0 2, 59.44, 9

# HoTmSO2
Simulated powder XRD pattern, Cu Ka. Input: a PBE-relaxed structure.
Lines closer than 0.1° are merged.

Structural model:
a = 6.2371 Å, b = 3.9488 Å, c = 7.3931 Å
α = 90.00°, β = 107.48°, γ = 90.00°
Space group P2_1/m (No. 11)
Asymmetric unit:
Ho1 0.1878 0.2500 0.4256 [2 per cell]
Tm1 0.1839 0.2500 0.9197 [2 per cell]
S1 0.4580 0.7500 0.7409 [2 per cell]
O1 0.0173 0.7500 0.8835 [2 per cell]
O2 0.0215 0.7500 0.3761 [2 per cell]

Principal peaks in the range 5 to 70 degrees two-theta, by angle:
index, 2θ/deg, I/Imax
1 0 0, 14.89, 42
0 0 2, 25.23, 32
1 1 0, 27.10, 100
2 0 -2, 33.06, 47
1 0 2, 33.20, 46
1 1 -2, 34.07, 79
2 1 0, 37.87, 30
3 1 -2, 51.10, 23
2 1 2, 51.26, 23
2 2 -2, 57.82, 37

# BaTl2MoCl8
Simulated powder XRD pattern, Cu Ka. Input: a PBE-relaxed structure.
Lines closer than 0.1° are merged.

Structural model:
a = 6.5066 Å, b = 7.3341 Å, c = 8.7567 Å
α = 89.87°, β = 89.94°, γ = 87.11°
Space group P-1 (No. 2)
Asymmetric unit:
Ba1 0.0000 0.0000 0.0000 [1 per cell]
Tl1 0.5004 0.4986 0.2627 [2 per cell]
Mo1 0.0000 0.0000 0.5000 [1 per cell]
Cl1 0.1160 0.2069 0.3022 [2 per cell]
Cl2 0.1185 0.2054 0.6968 [2 per cell]
Cl3 0.3210 0.8412 0.4986 [2 per cell]
Cl4 0.3852 0.7452 0.0003 [2 per cell]

Principal peaks in the range 5 to 70 degrees two-theta, by angle:
index, 2θ/deg, I/Imax
1 1 0, 17.78, 100
1 -1 0, 18.70, 84
0 1 -2, 23.67, 95
1 0 2, 24.52, 43
2 0 0, 27.45, 30
1 2 2, 34.28, 68
-1 2 2, 35.29, 38
2 1 2, 36.06, 38
-2 1 2, 37.04, 28
3 0 2, 46.79, 24

# Er2Sc7
Simulated powder XRD pattern, Cu Ka. Input: a PBE-relaxed structure.
Lines closer than 0.1° are merged.

Structural model:
a = 5.7377 Å, b = 5.7377 Å, c = 8.1182 Å
α = 90.00°, β = 90.00°, γ = 120.00°
Space group P-31m (No. 162)
Asymmetric unit:
Er1 0.3333 0.6667 0.0000 [2 per cell]
Sc1 0.0000 0.0000 0.0000 [1 per cell]
Sc2 0.0000 0.3311 0.6610 [6 per cell]

Principal peaks in the range 5 to 70 degrees two-theta, by angle:
index, 2θ/deg, I/Imax
0 0 1, 10.90, 36
1 0 0, 17.85, 10
1 0 1, 20.96, 15
0 0 2, 21.90, 10
1 1 0, 31.18, 11
1 1 1, 33.12, 100
2 -1 2, 38.42, 50
3 0 0, 55.47, 32
4 -2 1, 66.14, 36
2 2 2, 69.49, 11

# SmTh3C8
Simulated powder XRD pattern, Cu Ka. Input: a PBE-relaxed structure.
Lines closer than 0.1° are merged.

Structural model:
a = 9.8186 Å, b = 9.8487 Å, c = 8.2458 Å
α = 90.00°, β = 90.00°, γ = 90.00°
Space group Fmm2 (No. 42)
Asymmetric unit:
Sm1 0.0000 0.0000 0.0000 [4 per cell]
Th1 0.0000 0.0000 0.4986 [4 per cell]
Th2 0.2500 0.2500 0.2456 [8 per cell]
C1 0.0000 0.1616 0.7440 [8 per cell]
C2 0.0000 0.2480 0.8683 [8 per cell]
C3 0.1624 0.0000 0.2525 [8 per cell]
C4 0.2476 0.0000 0.6317 [8 per cell]

Principal peaks in the range 5 to 70 degrees two-theta, by angle:
index, 2θ/deg, I/Imax
2 2 0, 25.62, 55
2 0 2, 28.25, 100
0 4 0, 36.49, 15
4 0 0, 36.61, 15
0 0 4, 43.92, 9
2 4 2, 46.82, 56
2 2 4, 51.54, 21
4 4 0, 52.65, 10
4 0 4, 58.42, 13
2 6 0, 59.37, 6